# 1
Structure and computed X-ray powder pattern of Mg5Cd (a crystal structure in the Materials Project, relaxed with GGA-PBE; Cu Kα X-rays).

Structure:
```
data_Mg5Cd
_chemical_formula_sum 'Mg15 Cd3'
_cell_length_a 5.3435
_cell_length_b 5.3435
_cell_length_c 16.5535
_cell_angle_alpha 90.00
_cell_angle_beta 90.00
_cell_angle_gamma 120.00
_symmetry_space_group_name_H-M 'R 3 2'
_symmetry_Int_Tables_number 155
_symmetry_space_group_name_Hall 'R 3 2"'
loop_
_atom_site_label
_atom_site_fract_x
_atom_site_fract_y
_atom_site_fract_z
_atom_site_occupancy
Mg1 0.0000 0.0000 0.1673 1
Mg2 0.0000 0.6646 0.0000 1
Cd1 0.0000 0.0000 0.5000 1
```

Top 10 peaks for 2θ = 5–70°, by angle:
5.518 Å, I 23; 4.457 Å, I 43; 4.039 Å, I 33; 2.759 Å, I 32; 2.672 Å, I 30; 2.405 Å, I 100; 1.919 Å, I 22; 1.543 Å, I 17; 1.515 Å, I 22; 1.346 Å, I 20



# 2
Structure and computed X-ray powder pattern of MgPaPt2 (a crystal structure in the Materials Project, relaxed with GGA-PBE; Cu Kα X-rays).

Structure:
```
data_MgPaPt2
_chemical_formula_sum 'Mg4 Pa4 Pt8'
_cell_length_a 6.8057
_cell_length_b 6.8057
_cell_length_c 6.8057
_cell_angle_alpha 90.00
_cell_angle_beta 90.00
_cell_angle_gamma 90.00
_symmetry_space_group_name_H-M 'F m -3 m'
_symmetry_Int_Tables_number 225
_symmetry_space_group_name_Hall '-F 4 2 3'
loop_
_atom_site_label
_atom_site_fract_x
_atom_site_fract_y
_atom_site_fract_z
_atom_site_occupancy
Mg1 0.0000 0.0000 0.0000 1
Pa1 0.0000 0.0000 0.5000 1
Pt1 0.2500 0.2500 0.2500 1
```

Top 9 peaks for 2θ = 5–70°, by angle:
3.929 Å, I 23; 3.403 Å, I 5; 2.406 Å, I 100; 2.052 Å, I 13; 1.965 Å, I 2; 1.701 Å, I 18; 1.561 Å, I 5; 1.522 Å, I 2; 1.389 Å, I 37